# TiMnZnO4
Computed X-ray diffraction stick pattern, Cu Kα, 1.54184 Å. Input: a DFT-relaxed cell (GGA+U, Alexandria).
Neutral-atom scattering factors, no anomalous dispersion.

Cell and atoms:
Lattice parameters (Å, degrees): 5.942 6.030 8.434 90.00 90.00 90.00
Space group Imma (No. 74)
Unique sites:
Ti1 0.250 0.250 0.250 x4
Mn1 0.000 0.000 0.000 x4
Zn1 0.000 0.250 0.626 x4
O1 0.000 0.018 0.239 x8
O2 0.226 0.250 0.010 x8

Top 6 peaks for 10° ≤ 2θ ≤ 80°, sorted by position:
Position (°2θ)  intensity
29.9  43
35.0  57
35.3  100
56.3  19
56.7  34
62.1  45